(1)
Calculated powder X-ray diffraction pattern
Compound: Li3CrP2O9
Radiation: Cu Kα
Structure: a DFT-relaxed cell (GGA+U, the Materials Project)
Peak positions follow from Bragg's law for the DFT cell and can differ from measured ones.

Structural model:
Cell lengths 6.841, 7.134, 8.006 Å; angles 89.00, 64.77, 87.24 degrees
Fractional coordinates of all 30 atoms:
Li 0.000 0.000 0.000
Li 0.082 0.258 0.304
Li 0.204 0.514 0.610
Li 0.462 0.451 0.057
Li 0.686 0.067 0.556
Li 0.838 0.762 0.803
Cr 0.086 0.763 0.299
Cr 0.580 0.756 0.308
P 0.195 0.051 0.555
P 0.474 0.002 0.011
P 0.698 0.518 0.601
P 0.958 0.465 0.057
O 0.031 0.558 0.868
O 0.075 0.995 0.433
O 0.087 0.959 0.743
O 0.092 0.529 0.166
O 0.197 0.263 0.547
O 0.262 0.887 0.070
O 0.307 0.669 0.331
O 0.410 0.194 0.102
O 0.440 0.974 0.461
O 0.533 0.613 0.531
O 0.594 0.521 0.809
O 0.597 0.994 0.803
O 0.632 0.889 0.081
O 0.712 0.536 0.164
O 0.764 0.324 0.509
O 0.850 0.845 0.283
O 0.902 0.643 0.542
O 0.970 0.253 0.065

Most intense lines, 10° ≤ 2θ ≤ 90°, by angle:
- d = 7.242 Å, 12.22°, I 92.9
- d = 7.126 Å, 12.42°, I 100.0
- d = 5.079 Å, 17.46°, I 75.8
- d = 4.774 Å, 18.59°, I 72.9
- d = 4.572 Å, 19.42°, I 41.1
- d = 3.490 Å, 25.52°, I 37.4
- d = 3.411 Å, 26.13°, I 47.8
- d = 3.231 Å, 27.61°, I 64.0
- d = 3.194 Å, 27.93°, I 60.5
- d = 3.090 Å, 28.90°, I 56.7

(2)
Calculated powder X-ray diffraction pattern
Compound: Mn5O8
Radiation: Cu Kα
Structure: a DFT-relaxed cell (GGA+U, the Materials Project)
Peak positions follow from Bragg's law for the DFT cell and can differ from measured ones.

Structural model:
Cell lengths 6.188, 6.188, 6.188 Å; angles 57.96, 57.96, 57.96 degrees
Fractional coordinates of all 13 atoms:
Mn 0.000 0.000 0.000
Mn 0.000 0.500 0.500
Mn 0.500 0.000 0.500
Mn 0.500 0.500 0.000
Mn 0.500 0.500 0.500
O 0.248 0.248 0.706
O 0.248 0.706 0.248
O 0.269 0.269 0.269
O 0.294 0.752 0.752
O 0.706 0.248 0.248
O 0.731 0.731 0.731
O 0.752 0.294 0.752
O 0.752 0.752 0.294

Most intense lines, 10° ≤ 2θ ≤ 90°, by angle:
- d = 5.129 Å, 17.29°, I 100.0
- d = 4.920 Å, 18.03°, I 28.7
- d = 4.304 Å, 20.64°, I 12.6
- d = 2.561 Å, 35.03°, I 36.0
- d = 2.460 Å, 36.53°, I 22.5
- d = 2.152 Å, 41.98°, I 96.5
- d = 1.678 Å, 54.72°, I 16.0
- d = 1.545 Å, 59.85°, I 24.7
- d = 1.499 Å, 61.90°, I 26.1
- d = 1.439 Å, 64.80°, I 12.2

(3)
Calculated powder X-ray diffraction pattern
Compound: Zn2FeIrO6
Radiation: Cu Kα
Structure: a DFT-relaxed cell (GGA+U, the Materials Project)
Peak positions follow from Bragg's law for the DFT cell and can differ from measured ones.

Structural model:
Cell lengths 5.222, 5.228, 9.304 Å; angles 90.00, 123.92, 90.00 degrees
Fractional coordinates of all 20 atoms:
Zn 0.246 0.032 0.254
Zn 0.246 0.468 0.754
Zn 0.754 0.532 0.246
Zn 0.754 0.968 0.746
Fe 0.500 0.000 0.000
Fe 0.500 0.500 0.500
Ir 0.000 0.000 0.500
Ir 0.000 0.500 0.000
O 0.126 0.086 0.744
O 0.126 0.414 0.244
O 0.238 0.679 0.569
O 0.238 0.821 0.069
O 0.386 0.174 0.562
O 0.386 0.326 0.062
O 0.614 0.674 0.938
O 0.614 0.826 0.438
O 0.762 0.179 0.931
O 0.762 0.321 0.431
O 0.874 0.586 0.756
O 0.874 0.914 0.256

Most intense lines, 10° ≤ 2θ ≤ 90°, by angle:
- d = 4.328 Å, 20.52°, I 44.7
- d = 3.695 Å, 24.09°, I 12.1
- d = 2.669 Å, 33.57°, I 100.0
- d = 2.613 Å, 34.32°, I 46.6
- d = 2.237 Å, 40.31°, I 16.6
- d = 1.930 Å, 47.08°, I 13.0
- d = 1.847 Å, 49.33°, I 20.9
- d = 1.554 Å, 59.50°, I 17.0
- d = 1.520 Å, 60.95°, I 31.9
- d = 1.516 Å, 61.11°, I 11.5

(4)
Calculated powder X-ray diffraction pattern
Compound: V3CuO8
Radiation: Cu Kα
Structure: a DFT-relaxed cell (GGA+U, the Materials Project)
Peak positions follow from Bragg's law for the DFT cell and can differ from measured ones.

Structural model:
Cell lengths 6.243, 6.243, 6.718 Å; angles 105.70, 105.70, 34.97 degrees
Fractional coordinates of all 12 atoms:
V 0.000 0.000 0.000
V 0.094 0.094 0.573
V 0.305 0.305 0.038
Cu 0.399 0.399 0.609
O 0.058 0.058 0.308
O 0.144 0.144 0.967
O 0.244 0.244 0.663
O 0.328 0.328 0.290
O 0.462 0.462 0.001
O 0.565 0.565 0.610
O 0.830 0.830 0.995
O 0.945 0.945 0.681

Most intense lines, 10° ≤ 2θ ≤ 90°, by angle:
- d = 6.442 Å, 13.75°, I 43.5
- d = 5.710 Å, 15.52°, I 52.5
- d = 3.564 Å, 24.98°, I 100.0
- d = 3.221 Å, 27.70°, I 76.7
- d = 2.937 Å, 30.44°, I 41.2
- d = 2.672 Å, 33.54°, I 26.7
- d = 2.503 Å, 35.88°, I 32.5
- d = 2.147 Å, 42.08°, I 32.7
- d = 1.985 Å, 45.71°, I 28.9
- d = 1.876 Å, 48.53°, I 39.3

(5)
Calculated powder X-ray diffraction pattern
Compound: Ba3CoO5
Radiation: Cu Kα
Structure: a DFT-relaxed cell (GGA+U, the Materials Project)
Peak positions follow from Bragg's law for the DFT cell and can differ from measured ones.

Structural model:
Cell lengths 7.856, 7.856, 7.856 Å; angles 123.90, 123.90, 83.37 degrees
Fractional coordinates of all 18 atoms:
Ba 0.176 0.676 0.852
Ba 0.250 0.250 0.000
Ba 0.324 0.176 0.500
Ba 0.676 0.824 0.500
Ba 0.750 0.750 0.000
Ba 0.824 0.324 0.148
Co 0.250 0.750 0.500
Co 0.750 0.250 0.500
O 0.000 0.000 0.000
O 0.020 0.793 0.500
O 0.207 0.707 0.226
O 0.293 0.520 0.500
O 0.480 0.980 0.774
O 0.500 0.500 0.000
O 0.520 0.020 0.226
O 0.707 0.480 0.500
O 0.793 0.293 0.774
O 0.980 0.207 0.500

Most intense lines, 10° ≤ 2θ ≤ 90°, by angle:
- d = 3.181 Å, 28.05°, I 48.5
- d = 3.126 Å, 28.55°, I 100.0
- d = 2.934 Å, 30.47°, I 35.0
- d = 2.612 Å, 34.33°, I 26.4
- d = 2.524 Å, 35.57°, I 57.4
- d = 2.336 Å, 38.53°, I 23.0
- d = 1.951 Å, 46.55°, I 21.4
- d = 1.771 Å, 51.59°, I 16.6
- d = 1.728 Å, 52.98°, I 18.9
- d = 1.629 Å, 56.48°, I 15.0

(6)
Calculated powder X-ray diffraction pattern
Compound: CsCoF3
Radiation: Cu Kα
Structure: a DFT-relaxed cell (GGA+U, the Materials Project)
Peak positions follow from Bragg's law for the DFT cell and can differ from measured ones.

Structural model:
Cell lengths 8.410, 8.410, 8.410 Å; angles 43.85, 43.85, 43.85 degrees
Fractional coordinates of all 15 atoms:
Cs 0.000 0.000 0.000
Cs 0.214 0.214 0.214
Cs 0.786 0.786 0.786
Co 0.378 0.378 0.378
Co 0.500 0.500 0.500
Co 0.622 0.622 0.622
F 0.000 0.500 0.500
F 0.273 0.703 0.703
F 0.297 0.297 0.727
F 0.297 0.727 0.297
F 0.500 0.000 0.500
F 0.500 0.500 0.000
F 0.703 0.273 0.703
F 0.703 0.703 0.273
F 0.727 0.297 0.297

Most intense lines, 10° ≤ 2θ ≤ 90°, by angle:
- d = 3.932 Å, 22.61°, I 22.0
- d = 3.491 Å, 25.51°, I 65.0
- d = 3.140 Å, 28.42°, I 100.0
- d = 2.791 Å, 32.07°, I 15.3
- d = 2.454 Å, 36.62°, I 26.1
- d = 2.335 Å, 38.56°, I 44.7
- d = 1.967 Å, 46.14°, I 15.4
- d = 1.874 Å, 48.59°, I 17.5
- d = 1.813 Å, 50.32°, I 19.2
- d = 1.570 Å, 58.81°, I 22.1

(7)
Calculated powder X-ray diffraction pattern
Compound: Fe2O3
Radiation: Cu Kα
Structure: a DFT-relaxed cell (GGA+U, the Materials Project)
Peak positions follow from Bragg's law for the DFT cell and can differ from measured ones.

Structural model:
Cell lengths 8.233, 8.233, 9.492 Å; angles 125.20, 125.20, 70.18 degrees
Fractional coordinates of all 40 atoms:
Fe 0.000 0.000 0.000
Fe 0.177 0.748 0.714
Fe 0.215 0.289 0.040
Fe 0.216 0.291 0.544
Fe 0.252 0.823 0.286
Fe 0.422 0.578 0.500
Fe 0.459 0.036 0.747
Fe 0.461 0.039 0.246
Fe 0.500 0.500 0.000
Fe 0.682 0.256 0.222
Fe 0.709 0.784 0.456
Fe 0.711 0.785 0.960
Fe 0.744 0.318 0.778
Fe 0.928 0.072 0.500
Fe 0.961 0.539 0.754
Fe 0.964 0.541 0.253
O 0.003 0.756 0.014
O 0.006 0.297 0.784
O 0.188 0.583 0.247
O 0.193 0.039 0.528
O 0.201 0.495 0.485
O 0.222 0.080 0.285
O 0.234 0.542 0.794
O 0.244 0.997 0.986
O 0.417 0.277 0.984
O 0.417 0.812 0.753
O 0.458 0.766 0.206
O 0.470 0.313 0.302
O 0.505 0.799 0.515
O 0.507 0.265 0.748
O 0.687 0.530 0.698
O 0.690 0.080 0.528
O 0.703 0.994 0.216
O 0.723 0.583 0.016
O 0.733 0.038 0.974
O 0.735 0.493 0.252
O 0.920 0.310 0.472
O 0.920 0.778 0.715
O 0.961 0.807 0.472
O 0.962 0.267 0.026

Most intense lines, 10° ≤ 2θ ≤ 90°, by angle:
- d = 3.885 Å, 22.89°, I 11.1
- d = 3.873 Å, 22.96°, I 5.7
- d = 2.744 Å, 32.63°, I 100.0
- d = 2.366 Å, 38.02°, I 5.7
- d = 2.028 Å, 44.68°, I 6.6
- d = 1.683 Å, 54.52°, I 28.8
- d = 1.676 Å, 54.78°, I 13.1
- d = 1.440 Å, 64.76°, I 7.8
- d = 1.432 Å, 65.16°, I 6.9
- d = 1.429 Å, 65.31°, I 7.2

(8)
Calculated powder X-ray diffraction pattern
Compound: CoTeO3
Radiation: Cu Kα
Structure: a DFT-relaxed cell (GGA+U, the Materials Project)
Peak positions follow from Bragg's law for the DFT cell and can differ from measured ones.

Structural model:
Cell lengths 3.779, 3.779, 3.779 Å; angles 90.00, 90.00, 90.00 degrees
Fractional coordinates of all 5 atoms:
Co 0.000 0.000 0.000
Te 0.500 0.500 0.500
O 0.000 0.000 0.500
O 0.000 0.500 0.000
O 0.500 0.000 0.000

Most intense lines, 10° ≤ 2θ ≤ 90°, by angle:
- d = 3.779 Å, 23.54°, I 7.9
- d = 2.672 Å, 33.53°, I 100.0
- d = 2.182 Å, 41.38°, I 15.5
- d = 1.890 Å, 48.15°, I 32.9
- d = 1.690 Å, 54.27°, I 4.3
- d = 1.543 Å, 59.95°, I 37.2
- d = 1.336 Å, 70.47°, I 18.9
- d = 1.195 Å, 80.34°, I 15.8
- d = 1.140 Å, 85.15°, I 4.8
- d = 1.091 Å, 89.92°, I 6.5